This entry pairs a crystal structure of YScZnNi2 with its theoretical powder diffractogram. Radiation: Cu Kα, 1.54184 Å. Structure: a crystal structure in OQMD, relaxed with PBE.
Intensities are scaled so that the largest is 100.

Atomic structure:
```
data_YScZnNi2
_chemical_formula_sum 'Y2 Sc2 Zn2 Ni4'
_cell_length_a 4.194
_cell_length_b 5.281
_cell_length_c 7.797
_cell_angle_alpha 90.00
_cell_angle_beta 90.00
_cell_angle_gamma 90.00
_symmetry_space_group_name_H-M 'I m m 2'
_symmetry_Int_Tables_number 44
_symmetry_space_group_name_Hall 'I 2 -2'
loop_
_atom_site_label
_atom_site_type_symbol
_atom_site_fract_x
_atom_site_fract_y
_atom_site_fract_z
_atom_site_occupancy
Y1 Y 0.000 0.000 0.000 1
Sc1 Sc 0.000 0.000 0.408 1
Zn1 Zn 0.000 0.500 0.203 1
Ni1 Ni 0.000 0.271 0.702 1
```

Principal peaks in the range 10 to 90 degrees two-theta, by intensity:
2θ/deg, d (Å), I_rel, (hkl)
35.75, 2.512, 100, 1 1 2
42.07, 2.148, 87, 1 2 1
43.14, 2.097, 40, 2 0 0
74.15, 1.279, 28, 1 2 5
38.61, 2.332, 25, 0 1 3
41.30, 2.186, 23, 0 2 2
40.85, 2.209, 22, 1 0 3
46.59, 1.949, 19, 0 0 4